1.
# ZnCoO3
Calculated powder diffraction line list, λ = 1.5418 Å (Cu Kα). Input: a structure optimized by DFT (PBE+U).

Structural model:
abc: 5.391 5.391 5.391
angles: 54.53 54.53 54.53
Element x y z (fractional)
Zn 0.134 0.134 0.134
Zn 0.866 0.866 0.866
Co 0.339 0.339 0.339
Co 0.661 0.661 0.661
O 0.062 0.712 0.456
O 0.288 0.544 0.938
O 0.456 0.062 0.712
O 0.544 0.938 0.288
O 0.712 0.456 0.062
O 0.938 0.288 0.544

Peak list (6 most intense, 15° ≤ 2θ ≤ 90°, most intense first)
2θ (°)	intensity
33.48	100.0
36.38	90.1
54.69	45.7
50.27	37.7
24.52	35.7
65.46	32.8

2.
# MgCd2Fe4O8
Calculated powder diffraction line list, λ = 1.5418 Å (Cu Kα). Input: a structure optimized by DFT (PBE+U).

Structural model:
abc: 6.093 6.305 6.443
angles: 94.15 115.32 117.74
Element x y z (fractional)
Mg 0.000 0.000 0.000
Cd 0.464 0.351 0.475
Cd 0.869 0.110 0.563
Fe 0.164 0.659 0.042
Fe 0.169 0.745 0.556
Fe 0.585 0.609 0.036
Fe 0.666 0.189 0.026
O 0.098 0.343 0.173
O 0.164 0.903 0.296
O 0.181 0.971 0.804
O 0.185 0.510 0.748
O 0.607 0.916 0.181
O 0.614 0.940 0.747
O 0.708 0.457 0.861
O 0.735 0.456 0.301

Peak list (6 most intense, 15° ≤ 2θ ≤ 90°, most intense first)
2θ (°)	intensity
32.16	100.0
34.63	64.4
33.53	63.9
32.57	55.9
32.69	55.7
29.38	40.6

3.
# FeOF
Calculated powder diffraction line list, λ = 1.5418 Å (Cu Kα). Input: a structure optimized by DFT (PBE+U).

Structural model:
abc: 4.753 12.265 4.768
angles: 90.00 90.09 90.00
Element x y z (fractional)
Fe 0.000 0.000 0.000
Fe 0.082 0.250 0.955
Fe 0.082 0.750 0.955
Fe 0.093 0.500 0.982
Fe 0.507 0.375 0.473
Fe 0.507 0.625 0.473
Fe 0.582 0.124 0.510
Fe 0.582 0.876 0.510
O 0.244 0.371 0.160
O 0.244 0.629 0.160
O 0.354 0.500 0.662
O 0.367 0.246 0.665
O 0.367 0.754 0.665
O 0.738 0.000 0.311
O 0.865 0.127 0.803
O 0.865 0.873 0.803
F 0.255 0.122 0.187
F 0.255 0.878 0.187
F 0.356 0.000 0.701
F 0.746 0.500 0.272
F 0.757 0.251 0.282
F 0.757 0.749 0.282
F 0.855 0.376 0.771
F 0.855 0.624 0.771

Peak list (6 most intense, 15° ≤ 2θ ≤ 90°, most intense first)
2θ (°)	intensity
26.48	100.0
34.80	52.7
52.28	29.5
52.35	26.5
39.76	18.7
54.52	15.3

4.
# Li2MnOF3
Calculated powder diffraction line list, λ = 1.5418 Å (Cu Kα). Input: a structure optimized by DFT (PBE+U).

Structural model:
abc: 5.724 5.724 6.063
angles: 120.44 120.44 66.72
Element x y z (fractional)
Li 0.000 0.000 0.000
Li 0.130 0.587 0.358
Li 0.587 0.130 0.358
Li 0.620 0.620 0.372
Mn 0.152 0.152 0.679
Mn 0.622 0.622 0.862
O 0.420 0.826 0.634
O 0.826 0.420 0.634
F 0.320 0.320 0.568
F 0.332 0.332 0.101
F 0.404 0.820 0.096
F 0.820 0.404 0.096
F 0.909 0.909 0.199
F 0.914 0.914 0.626

Peak list (6 most intense, 15° ≤ 2θ ≤ 90°, most intense first)
2θ (°)	intensity
20.34	100.0
19.04	99.6
23.41	92.5
18.41	79.7
28.35	77.9
41.36	66.9

5.
# BaPrEuWO6
Calculated powder diffraction line list, λ = 1.5418 Å (Cu Kα). Input: a structure optimized by DFT (PBE+U).

Structural model:
abc: 6.029 6.086 8.596
angles: 89.85 89.54 89.90
Element x y z (fractional)
Ba 0.008 0.032 0.250
Ba 0.992 0.968 0.750
Pr 0.000 0.500 0.000
Pr 0.500 0.000 0.500
Eu 0.491 0.544 0.248
Eu 0.509 0.456 0.752
W 0.000 0.500 0.500
W 0.500 0.000 0.000
O 0.095 0.504 0.729
O 0.193 0.761 0.455
O 0.235 0.801 0.036
O 0.273 0.312 0.450
O 0.321 0.273 0.045
O 0.429 0.040 0.769
O 0.571 0.960 0.231
O 0.679 0.727 0.955
O 0.727 0.688 0.550
O 0.765 0.199 0.964
O 0.807 0.239 0.545
O 0.905 0.496 0.271

Peak list (6 most intense, 15° ≤ 2θ ≤ 90°, most intense first)
2θ (°)	intensity
29.35	100.0
29.53	67.4
29.64	33.1
42.20	31.7
52.16	24.5
52.03	21.2

6.
# Li2Ni3O6
Calculated powder diffraction line list, λ = 1.5418 Å (Cu Kα). Input: a structure optimized by DFT (PBE+U).

Structural model:
abc: 4.982 4.982 10.006
angles: 90.00 90.00 60.46
Element x y z (fractional)
Li 0.160 0.340 0.250
Li 0.340 0.160 0.750
Li 0.660 0.840 0.250
Li 0.840 0.660 0.750
Ni 0.000 0.000 0.000
Ni 0.165 0.165 0.500
Ni 0.335 0.335 0.000
Ni 0.500 0.500 0.500
Ni 0.665 0.665 0.000
Ni 0.835 0.835 0.500
O 0.009 0.341 0.900
O 0.159 0.491 0.600
O 0.171 0.829 0.404
O 0.329 0.671 0.904
O 0.341 0.009 0.100
O 0.491 0.159 0.400
O 0.509 0.841 0.600
O 0.659 0.991 0.900
O 0.671 0.329 0.096
O 0.829 0.171 0.596
O 0.841 0.509 0.400
O 0.991 0.659 0.100

Peak list (6 most intense, 15° ≤ 2θ ≤ 90°, most intense first)
2θ (°)	intensity
17.73	100.0
37.20	30.3
45.45	29.7
59.23	16.4
40.22	15.2
65.25	14.4